Structure and simulated XRD peak list of Y2PuNpP4 (a crystal structure in Alexandria, relaxed with GGA-PBE; CuKα).

Cell and atoms:
```
Y2PuNpP4
1.0
6.888 0.000 0.000
0.000 3.996 0.000
-2.318 0.000 6.534
Y Pu Np P
2 1 1 4
direct
0.000 0.000 0.000
0.000 0.500 0.500
0.500 0.000 0.500
0.500 0.500 0.000
0.257 0.000 0.754
0.257 0.500 0.250
0.743 0.000 0.246
0.743 0.500 0.750
```

Largest 12 diffraction maxima, in order of rising 2θ, 10 to 80 degrees two-theta:
two_theta, d/Å, I_rel
13.64, 6.491, 32
26.13, 3.410, 21
27.33, 3.263, 66
27.48, 3.246, 22
31.71, 2.822, 100
45.35, 2.000, 37
45.55, 1.992, 36
53.78, 1.704, 18
53.87, 1.702, 14
56.43, 1.631, 13
75.15, 1.264, 17
75.44, 1.260, 16